[1]
Theoretical powder diffractogram
Compound: Cu2F13
Radiation: copper Kα
Structure: a crystal structure in OQMD, relaxed with GGA-PBE
Neutral-atom scattering factors, no anomalous dispersion.

Peak list (10 most intense, 2θ from 5° to 70°, in order of rising 2θ)
two_theta	I (rel.)
18.35	664
23.35	967
26.29	582
26.55	423
27.40	506
27.98	684
31.15	419
33.71	556
44.25	842
49.91	1000

Atomic structure:
Lattice parameters (Å, degrees): 4.411 5.584 6.952 67.13 78.46 72.37
Space group P-1 (No. 2)
Inequivalent atoms, fractional coordinates:
Cu 0.150 0.146 0.223 [2 per cell]
F 0.000 0.000 0.500 [1 per cell]
F 0.131 0.862 0.172 [2 per cell]
F 0.163 0.423 0.287 [2 per cell]
F 0.272 0.682 0.841 [2 per cell]
F 0.291 0.317 0.946 [2 per cell]
F 0.340 0.506 0.548 [2 per cell]
F 0.440 0.020 0.717 [2 per cell]

---

[2]
Theoretical powder diffractogram
Compound: TmI2O6
Radiation: copper Kα
Structure: a crystal structure in OQMD, relaxed with GGA-PBE
Neutral-atom scattering factors, no anomalous dispersion.

Peak list (10 most intense, 2θ from 5° to 70°, in order of rising 2θ)
two_theta	I (rel.)
19.70	456
23.11	288
24.94	316
25.27	1000
26.00	340
30.09	505
31.11	389
32.91	360
48.52	296
49.07	295

Atomic structure:
Lattice parameters (Å, degrees): 5.751 5.180 9.141 90.00 91.54 90.00
Space group P2_1 (No. 4)
Inequivalent atoms, fractional coordinates:
Tm 0.199 0.000 0.233 [2 per cell]
I 0.273 0.467 0.561 [2 per cell]
I 0.296 0.946 0.892 [2 per cell]
O 0.012 0.270 0.604 [2 per cell]
O 0.138 0.687 0.747 [2 per cell]
O 0.181 0.737 0.042 [2 per cell]
O 0.344 0.215 0.045 [2 per cell]
O 0.356 0.254 0.401 [2 per cell]
O 0.476 0.294 0.689 [2 per cell]

---

Number 2 is which compound?
TmI2O6